Record 1
K5H8Au: theoretical XRD peak list (λ = 1.5418 Å (Cu Kα)), based on the PBE geometry in Alexandria.

Structure:
Cell lengths 8.0027, 8.0027, 8.7262 Å; angles 90.00, 90.00, 90.00 degrees
Space group I-4 (No. 82)
One atom of each set of equivalent atoms:
K 0.0000 0.0000 0.0000 [2 per cell]
K 0.1335 0.2947 0.5934 [8 per cell]
H 0.0158 0.2941 0.2507 [8 per cell]
H 0.1161 0.2967 0.8984 [8 per cell]
Au 0.0000 0.5000 0.2500 [2 per cell]

Most intense lines, 2θ = 10–90°, in order of rising 2θ:
2θ/deg, d (Å), Rel. int., index
15.02, 5.898, 69.7, 1 0 1
15.66, 5.659, 48.2, 1 1 0
22.22, 4.001, 14.7, 2 0 0
25.78, 3.455, 54.4, 1 1 2
26.93, 3.311, 100.0, 2 1 1
30.31, 2.949, 21.7, 2 0 2
31.62, 2.829, 15.6, 2 2 0
32.76, 2.734, 37.6, 1 0 3
35.18, 2.551, 29.0, 3 0 1
41.24, 2.189, 34.1, 1 3 2
47.47, 1.915, 14.2, 2 0 4
51.81, 1.765, 18.4, 3 2 3

Record 2
K7H5Au: theoretical XRD peak list (λ = 1.5418 Å (Cu Kα)), based on the PBE geometry in Alexandria.

Structure:
Cell lengths 13.4462, 4.0873, 25.1788 Å; angles 90.00, 90.04, 90.00 degrees
Space group C2/m (No. 12)
One atom of each set of equivalent atoms:
K 0.0196 0.0000 0.2500 [4 per cell]
K 0.0895 0.5000 0.1036 [4 per cell]
K 0.0890 0.5000 0.3965 [4 per cell]
K 0.1352 0.0000 0.5312 [4 per cell]
K 0.1349 0.0000 0.9688 [4 per cell]
K 0.1753 0.5000 0.6625 [4 per cell]
K 0.1749 0.5000 0.8376 [4 per cell]
H 0.0000 0.5000 0.0000 [2 per cell]
H 0.0000 0.5000 0.5000 [2 per cell]
H 0.0432 0.0000 0.6308 [4 per cell]
H 0.0429 0.0000 0.8692 [4 per cell]
H 0.2266 0.0000 0.0678 [4 per cell]
H 0.2266 0.0000 0.4321 [4 per cell]
Au 0.2151 0.5000 0.2498 [4 per cell]

Most intense lines, 2θ = 10–90°, in order of rising 2θ:
2θ/deg, d (Å), Rel. int., index
13.17, 6.723, 42.3, 2 0 0
14.07, 6.295, 43.8, 0 0 4
14.94, 5.930, 64.3, 2 0 -2
19.32, 4.595, 31.5, 2 0 -4
23.02, 3.864, 50.4, 1 1 1
27.46, 3.248, 35.5, 4 0 -2
28.14, 3.172, 53.7, 2 0 7
28.91, 3.089, 100.0, 1 1 -5
30.44, 2.937, 66.0, 3 1 2
31.48, 2.842, 69.2, 3 1 -3
33.86, 2.647, 38.1, 1 1 7
44.28, 2.045, 36.3, 0 2 0

Record 3
K2H4Au: theoretical XRD peak list (λ = 1.5418 Å (Cu Kα)), based on the PBE geometry in Alexandria.

Structure:
Cell lengths 4.9460, 5.7311, 9.1785 Å; angles 90.00, 100.29, 90.00 degrees
Space group P2_1/m (No. 11)
One atom of each set of equivalent atoms:
K 0.2111 0.2500 0.1072 [2 per cell]
K 0.2494 0.7500 0.5130 [2 per cell]
H 0.2632 0.2500 0.5665 [2 per cell]
H 0.3006 0.5394 0.7749 [4 per cell]
H 0.4188 0.7500 0.0817 [2 per cell]
Au 0.3598 0.2500 0.7568 [2 per cell]

Most intense lines, 2θ = 10–90°, in order of rising 2θ:
2θ/deg, d (Å), Rel. int., index
18.23, 4.866, 25.3, 1 0 0
18.33, 4.839, 100.0, 0 1 1
19.11, 4.644, 28.5, 1 0 -1
19.66, 4.515, 32.3, 0 0 2
23.99, 3.710, 43.9, 1 1 0
24.38, 3.651, 24.7, 1 0 -2
27.20, 3.278, 62.8, 1 1 1
29.00, 3.079, 50.4, 1 1 -2
31.21, 2.866, 39.5, 0 2 0
33.63, 2.665, 47.3, 0 1 3
40.02, 2.253, 23.0, 2 0 1
48.74, 1.868, 22.6, 2 2 -1

Record 4
KNaH6Au3: theoretical XRD peak list (λ = 1.5418 Å (Cu Kα)), based on the PBE geometry in Alexandria.

Structure:
Cell lengths 7.9006, 7.9006, 8.6321 Å; angles 90.00, 90.00, 120.00 degrees
Space group R3 (No. 146, hexagonal axes)
One atom of each set of equivalent atoms:
K 0.0000 0.0000 0.0000 [3 per cell]
Na 0.0000 0.0000 0.6297 [3 per cell]
H 0.0232 0.3057 0.8262 [9 per cell]
H 0.0882 0.6757 0.0158 [9 per cell]
Au 0.0167 0.2234 0.3386 [9 per cell]

Most intense lines, 2θ = 10–90°, in order of rising 2θ:
2θ/deg, d (Å), Rel. int., index
16.53, 5.362, 82.4, 1 0 1
22.51, 3.950, 56.9, 1 1 0
24.38, 3.650, 31.4, 0 1 2
28.06, 3.180, 16.6, 0 2 1
31.08, 2.877, 40.9, 0 0 3
36.26, 2.477, 100.0, 2 1 1
38.72, 2.326, 28.1, 2 -1 3
40.67, 2.218, 75.6, 3 -2 2
55.46, 1.657, 29.2, 2 1 4
62.17, 1.493, 14.8, 1 4 0
64.95, 1.436, 19.0, 3 -2 5
71.14, 1.325, 19.5, 1 4 3